AlV2Co3: calculated powder diffractogram (a wavelength of 1.5418 Å), based on a DFT-relaxed cell (GGA-PBE, Alexandria).

Most intense lines, 10 to 90 degrees two-theta, in order of rising 2θ:
| 2theta | I (rel.) |
| --- | --- |
| 30.81 | 5.0 |
| 44.02 | 25.9 |
| 44.25 | 25.4 |
| 44.53 | 100.0 |
| 64.19 | 15.3 |
| 65.40 | 7.2 |
| 81.31 | 14.8 |
| 81.64 | 14.5 |
| 82.22 | 7.2 |
| 82.38 | 7.1 |

```
6
Lattice="2.057 -6.140 0.000 2.057 6.140 0.000 0.000 0.000 2.854" Properties=species:S:1:pos:R:3 pbc="T T T"
Al 0.000 0.000 0.000
V 2.057 2.041 0.000
V 2.057 -2.041 0.000
Co 2.057 4.062 1.427
Co 2.057 0.000 1.427
Co 2.057 -4.062 1.427
```